Computed powder XRD pattern
Compound: NaH9O5
Radiation: Cu Kα, 1.54184 Å
Structure: DFT lattice parameters and positions (PBE)
Intensities are scaled so that the largest is 100.

Principal peaks in the range 10 to 90 degrees two-theta, sorted by position:
Position (°2θ)  Rel. int.
23.7  34.8
26.2  100.0
30.6  38.5
34.0  31.9
36.7  29.4
44.1  35.7
46.1  31.3
46.8  25.1

Crystal structure
```
NaH9O5
1.0
7.713 -2.052 0.000
7.713 2.052 0.000
-4.261 0.000 8.456
Na H O
2 18 10
Direct
0.046 0.046 0.357
0.954 0.954 0.643
0.041 0.442 0.477
0.041 0.661 0.298
0.106 0.504 0.891
0.228 0.240 0.325
0.299 0.302 0.105
0.339 0.959 0.702
0.428 0.430 0.837
0.457 0.461 0.111
0.496 0.894 0.109
0.500 0.111 0.891
0.539 0.543 0.889
0.558 0.959 0.523
0.570 0.572 0.163
0.657 0.045 0.299
0.698 0.701 0.895
0.760 0.772 0.675
0.889 0.500 0.109
0.955 0.343 0.701
0.106 0.110 0.643
0.206 0.215 0.407
0.273 0.276 0.182
0.347 0.352 0.934
0.476 0.479 0.794
0.521 0.524 0.206
0.648 0.653 0.066
0.724 0.727 0.818
0.785 0.794 0.593
0.890 0.894 0.357
```